This entry pairs a crystal structure of RbSn with its computed PXRD pattern. Radiation: Cu Kα, 1.54184 Å. Structure: a crystal structure in the Materials Project, relaxed with GGA-PBE.

Largest 12 diffraction maxima, in order of falling intensity, 10 to 90 degrees two-theta:
2theta, d_spacing, I/Imax, index
27.32, 3.265, 100, 3 2 1
28.30, 3.153, 93, 2 1 5
13.86, 6.387, 78, 1 1 2
29.93, 2.986, 56, 4 0 0
35.54, 2.526, 35, 3 2 5
31.34, 2.855, 35, 4 0 2
47.81, 1.902, 32, 1 1 10
30.28, 2.952, 31, 3 2 3
52.73, 1.736, 30, 5 2 7
51.56, 1.772, 29, 6 3 1
29.40, 3.038, 27, 1 1 6
33.88, 2.646, 19, 4 1 3

Crystal structure
```
data_RbSn
_chemical_formula_sum 'Rb32 Sn32'
_cell_length_a 11.939
_cell_length_b 11.939
_cell_length_c 19.535
_cell_angle_alpha 90.00
_cell_angle_beta 90.00
_cell_angle_gamma 90.00
_space_group_name_H-M_alt 'I 41/a c d'
_space_group_IT_number 142
loop_
_space_group_symop_operation_xyz
'x,y,z'
'-x,-y,-z'
'-y+1/4,x+3/4,z+1/4'
'y+1/4,-x+3/4,-z+1/4'
'-x+1/2,-y,z+1/2'
'x+1/2,y,-z+1/2'
'y+1/4,-x+1/4,z+3/4'
'-y+1/4,x+1/4,-z+3/4'
'x,-y,-z+1/2'
'-x,y,z+1/2'
'-y+1/4,-x+1/4,-z+1/4'
'y+1/4,x+1/4,z+1/4'
'-x+1/2,y,-z'
'x+1/2,-y,z'
'y+1/4,x+3/4,-z+3/4'
'-y+1/4,-x+3/4,z+3/4'
'x+1/2,y+1/2,z+1/2'
'-x+1/2,-y+1/2,-z+1/2'
'-y+3/4,x+1/4,z+3/4'
'y+3/4,-x+1/4,-z+3/4'
'-x,-y+1/2,z'
'x,y+1/2,-z'
'y+3/4,-x+3/4,z+1/4'
'-y+3/4,x+3/4,-z+1/4'
'x+1/2,-y+1/2,-z'
'-x+1/2,y+1/2,z'
'-y+3/4,-x+3/4,-z+3/4'
'y+3/4,x+3/4,z+3/4'
'-x,y+1/2,-z+1/2'
'x,-y+1/2,z+1/2'
'y+3/4,x+1/4,-z+1/4'
'-y+3/4,-x+1/4,z+1/4'
loop_
_atom_site_label
_atom_site_type_symbol
_atom_site_fract_x
_atom_site_fract_y
_atom_site_fract_z
Rb1 Rb 0.122 0.128 0.125
Rb2 Rb 0.138 0.000 0.750
Sn1 Sn 0.063 0.141 0.930
```


This entry pairs a crystal structure of LiTiP5O15 with its computed PXRD pattern. Radiation: Cu Kα, 1.54184 Å. Structure: a crystal structure in the Materials Project, relaxed with GGA-PBE.

Largest 12 diffraction maxima, in order of falling intensity, 10 to 90 degrees two-theta:
2theta, d_spacing, I/Imax, index
20.05, 4.428, 100, 1 1 0
11.61, 7.620, 67, 0 1 1
18.44, 4.812, 60, 0 2 0
33.21, 2.698, 33, 1 3 0
28.62, 3.119, 32, 1 0 -4
30.12, 2.967, 29, 0 1 4
23.10, 3.850, 26, 1 1 1
34.26, 2.617, 20, 1 2 -4
23.30, 3.817, 18, 0 1 3
62.57, 1.485, 14, 2 2 -8
26.59, 3.352, 14, 1 2 -2
25.73, 3.463, 13, 1 2 0

Crystal structure
```
data_LiTiP5O15
_chemical_formula_sum 'Li2 Ti2 P10 O30'
_cell_length_a 5.251
_cell_length_b 9.624
_cell_length_c 13.136
_cell_angle_alpha 90.00
_cell_angle_beta 108.22
_cell_angle_gamma 90.00
_space_group_name_H-M_alt 'P 1 c 1'
_space_group_IT_number 7
_space_group_name_Hall 'P -2yc'
loop_
_atom_site_label
_atom_site_type_symbol
_atom_site_fract_x
_atom_site_fract_y
_atom_site_fract_z
Li1 Li 0.000 0.084 0.000
Ti1 Ti 0.958 0.492 0.578
P1 P 0.368 0.314 0.486
P2 P 0.423 0.015 0.425
P3 P 0.461 0.015 0.208
P4 P 0.547 0.320 0.164
P5 P 0.962 0.484 0.327
O1 O 0.189 0.012 0.129
O2 O 0.216 0.095 0.911
O3 O 0.224 0.366 0.563
O4 O 0.225 0.388 0.370
O5 O 0.256 0.366 0.135
O6 O 0.296 0.160 0.466
O7 O 0.431 0.085 0.316
O8 O 0.604 0.165 0.175
O9 O 0.660 0.097 0.729
O10 O 0.663 0.353 0.518
O11 O 0.688 0.378 0.086
O12 O 0.696 0.001 0.001
O13 O 0.706 0.385 0.281
O14 O 0.923 0.442 0.923
O15 O 0.998 0.439 0.731
```


This entry pairs a crystal structure of TbS2 with its computed PXRD pattern. Radiation: Cu Kα, 1.54184 Å. Structure: a crystal structure in the Materials Project, relaxed with GGA-PBE.

Largest 12 diffraction maxima, in order of falling intensity, 10 to 90 degrees two-theta:
2theta, d_spacing, I/Imax, index
25.30, 3.521, 100, 1 0 -2
39.59, 2.276, 58, 2 1 -2
41.09, 2.197, 42, 3 0 2
32.24, 2.776, 41, 0 1 2
22.37, 3.975, 28, 2 0 0
46.24, 1.963, 25, 0 0 4
53.43, 1.715, 20, 1 1 4
34.21, 2.621, 16, 1 1 2
63.59, 1.463, 14, 3 2 -2
33.82, 2.650, 12, 3 0 0
51.98, 1.759, 10, 2 2 0
63.47, 1.466, 7, 3 1 -4

Crystal structure
```
data_TbS2
_chemical_formula_sum 'Tb4 S8'
_cell_length_a 7.950
_cell_length_b 3.923
_cell_length_c 7.859
_cell_angle_alpha 90.00
_cell_angle_beta 90.13
_cell_angle_gamma 90.00
_space_group_name_H-M_alt 'P 1 21/c 1'
_space_group_IT_number 14
_space_group_name_Hall '-P 2ybc'
loop_
_atom_site_label
_atom_site_type_symbol
_atom_site_fract_x
_atom_site_fract_y
_atom_site_fract_z
Tb1 Tb 0.225 0.215 0.371
S1 S 0.131 0.740 0.125
S2 S 0.497 0.664 0.389
```


This entry pairs a crystal structure of La4Al6O15 with its computed PXRD pattern. Radiation: Cu Kα, 1.54184 Å. Structure: a crystal structure in the Materials Project, relaxed with GGA-PBE.

Largest 12 diffraction maxima, in order of falling intensity, 10 to 90 degrees two-theta:
2theta, d_spacing, I/Imax, index
28.04, 3.183, 100, 1 1 -5
28.61, 3.120, 63, 1 1 5
27.29, 3.268, 61, 3 1 -1
27.54, 3.239, 56, 4 0 0
19.38, 4.581, 42, 1 1 1
35.49, 2.529, 39, 0 2 0
29.48, 3.029, 31, 2 0 6
43.73, 2.070, 24, 5 1 -5
45.72, 1.985, 23, 5 1 5
42.66, 2.119, 22, 0 0 10
27.66, 3.225, 21, 3 1 1
44.38, 2.041, 19, 6 0 -4

Crystal structure
```
data_La4Al6O15
_chemical_formula_sum 'La16 Al24 O60'
_cell_length_a 12.978
_cell_length_b 5.060
_cell_length_c 21.226
_cell_angle_alpha 90.00
_cell_angle_beta 93.24
_cell_angle_gamma 90.00
_space_group_name_H-M_alt 'C 1 2/c 1'
_space_group_IT_number 15
_space_group_name_Hall '-C 2yc'
loop_
_atom_site_label
_atom_site_type_symbol
_atom_site_fract_x
_atom_site_fract_y
_atom_site_fract_z
La1 La 0.138 0.191 0.299
La2 La 0.144 0.212 0.102
Al1 Al 0.080 0.270 0.695
Al2 Al 0.086 0.290 0.914
Al3 Al 0.164 0.185 0.474
O1 O 0.000 0.123 0.750
O2 O 0.031 0.161 0.620
O3 O 0.076 0.384 0.198
O4 O 0.082 0.360 0.419
O5 O 0.119 0.138 0.988
O6 O 0.183 0.197 0.863
O7 O 0.200 0.114 0.708
O8 O 0.206 0.309 0.551
```


This entry pairs a crystal structure of NaSm2Se3 with its computed PXRD pattern. Radiation: Cu Kα, 1.54184 Å. Structure: a crystal structure in the Materials Project, relaxed with GGA-PBE.

Largest 12 diffraction maxima, in order of falling intensity, 10 to 90 degrees two-theta:
2theta, d_spacing, I/Imax, index
30.14, 2.965, 100, 1 0 3
43.23, 2.093, 74, 1 2 3
30.25, 2.954, 50, 0 2 0
16.56, 5.354, 23, 0 1 1
53.38, 1.716, 21, 0 2 6
53.82, 1.703, 19, 2 2 0
42.88, 2.109, 19, 0 0 6
79.53, 1.205, 18, 2 4 0
43.41, 2.085, 18, 2 0 0
71.33, 1.322, 17, 1 4 3
71.15, 1.325, 16, 2 2 6
14.00, 6.327, 13, 0 0 2

Crystal structure
```
data_NaSm2Se3
_chemical_formula_sum 'Na2 Sm4 Se6'
_cell_length_a 4.169
_cell_length_b 5.909
_cell_length_c 12.654
_cell_angle_alpha 90.00
_cell_angle_beta 90.00
_cell_angle_gamma 90.00
_space_group_name_H-M_alt 'I m m m'
_space_group_IT_number 71
_space_group_name_Hall '-I 2 2'
loop_
_atom_site_label
_atom_site_type_symbol
_atom_site_fract_x
_atom_site_fract_y
_atom_site_fract_z
Na1 Na 0.000 0.000 0.000
Sm1 Sm 0.000 0.000 0.336
Se1 Se 0.000 0.500 0.000
Se2 Se 0.000 0.500 0.331
```


This entry pairs a crystal structure of ZnCdSe2 with its computed PXRD pattern. Radiation: Cu Kα, 1.54184 Å. Structure: a crystal structure in the Materials Project, relaxed with GGA-PBE.

Largest 12 diffraction maxima, in order of falling intensity, 10 to 90 degrees two-theta:
2theta, d_spacing, I/Imax, index
25.81, 3.453, 100, 0 1 2
42.77, 2.114, 74, 1 1 0
50.63, 1.803, 45, 2 0 2
78.37, 1.220, 18, 3 0 0
62.08, 1.495, 12, 2 0 8
68.44, 1.371, 9, 1 2 2
68.32, 1.373, 8, 0 2 10
84.10, 1.151, 7, 2 1 10
78.20, 1.222, 5, 1 0 16
84.17, 1.150, 5, 3 0 6
32.63, 2.745, 3, 0 1 5
39.11, 2.304, 3, 1 0 7

Crystal structure
```
data_ZnCdSe2
_chemical_formula_sum 'Zn3 Cd3 Se6'
_cell_length_a 4.2250
_cell_length_b 4.2250
_cell_length_c 20.7505
_cell_angle_alpha 90.00
_cell_angle_beta 90.00
_cell_angle_gamma 120.00
_space_group_name_H-M_alt 'R 3 m'
_space_group_IT_number 160
_space_group_name_Hall 'R 3 -2"'
loop_
_atom_site_label
_atom_site_type_symbol
_atom_site_fract_x
_atom_site_fract_y
_atom_site_fract_z
Zn1 Zn 0.0000 0.0000 0.0000
Cd1 Cd 0.0000 0.0000 0.5010
Se1 Se 0.0000 0.0000 0.1192
Se2 Se 0.0000 0.0000 0.6305
```


This entry pairs a crystal structure of LiRu2O4 with its computed PXRD pattern. Radiation: Cu Kα, 1.54184 Å. Structure: a crystal structure in the Materials Project, relaxed with GGA-PBE.

Largest 12 diffraction maxima, in order of falling intensity, 10 to 90 degrees two-theta:
2theta, d_spacing, I/Imax, index
37.51, 2.397, 100, 1 1 2
18.59, 4.774, 86, 1 0 2
18.94, 4.684, 83, 2 0 0
32.91, 2.721, 75, 3 0 2
37.70, 2.386, 52, 2 1 0
32.27, 2.774, 45, 0 0 4
50.45, 1.809, 42, 2 1 4
61.70, 1.503, 30, 4 1 4
51.05, 1.789, 27, 4 1 0
61.04, 1.518, 23, 1 1 6
57.96, 1.591, 16, 3 0 6
67.57, 1.386, 13, 0 2 0

Crystal structure
```
data_LiRu2O4
_chemical_formula_sum 'Li4 Ru8 O16'
_cell_length_a 9.369
_cell_length_b 2.772
_cell_length_c 11.095
_cell_angle_alpha 90.00
_cell_angle_beta 90.00
_cell_angle_gamma 90.00
_space_group_name_H-M_alt 'P n m a'
_space_group_IT_number 62
_space_group_name_Hall '-P 2ac 2n'
loop_
_atom_site_label
_atom_site_type_symbol
_atom_site_fract_x
_atom_site_fract_y
_atom_site_fract_z
Li1 Li 0.245 0.250 0.133
Ru1 Ru 0.057 0.250 0.380
Ru2 Ru 0.091 0.250 0.896
O1 O 0.036 0.750 0.778
O2 O 0.095 0.250 0.562
O3 O 0.115 0.750 0.035
O4 O 0.204 0.750 0.332
```


Please write out number 2 again, unchanged.
This entry pairs a crystal structure of LiTiP5O15 with its computed PXRD pattern. Radiation: Cu Kα, 1.54184 Å. Structure: a crystal structure in the Materials Project, relaxed with GGA-PBE.

Largest 12 diffraction maxima, in order of falling intensity, 10 to 90 degrees two-theta:
2theta, d_spacing, I/Imax, index
20.05, 4.428, 100, 1 1 0
11.61, 7.620, 67, 0 1 1
18.44, 4.812, 60, 0 2 0
33.21, 2.698, 33, 1 3 0
28.62, 3.119, 32, 1 0 -4
30.12, 2.967, 29, 0 1 4
23.10, 3.850, 26, 1 1 1
34.26, 2.617, 20, 1 2 -4
23.30, 3.817, 18, 0 1 3
62.57, 1.485, 14, 2 2 -8
26.59, 3.352, 14, 1 2 -2
25.73, 3.463, 13, 1 2 0

Crystal structure
```
data_LiTiP5O15
_chemical_formula_sum 'Li2 Ti2 P10 O30'
_cell_length_a 5.251
_cell_length_b 9.624
_cell_length_c 13.136
_cell_angle_alpha 90.00
_cell_angle_beta 108.22
_cell_angle_gamma 90.00
_space_group_name_H-M_alt 'P 1 c 1'
_space_group_IT_number 7
_space_group_name_Hall 'P -2yc'
loop_
_atom_site_label
_atom_site_type_symbol
_atom_site_fract_x
_atom_site_fract_y
_atom_site_fract_z
Li1 Li 0.000 0.084 0.000
Ti1 Ti 0.958 0.492 0.578
P1 P 0.368 0.314 0.486
P2 P 0.423 0.015 0.425
P3 P 0.461 0.015 0.208
P4 P 0.547 0.320 0.164
P5 P 0.962 0.484 0.327
O1 O 0.189 0.012 0.129
O2 O 0.216 0.095 0.911
O3 O 0.224 0.366 0.563
O4 O 0.225 0.388 0.370
O5 O 0.256 0.366 0.135
O6 O 0.296 0.160 0.466
O7 O 0.431 0.085 0.316
O8 O 0.604 0.165 0.175
O9 O 0.660 0.097 0.729
O10 O 0.663 0.353 0.518
O11 O 0.688 0.378 0.086
O12 O 0.696 0.001 0.001
O13 O 0.706 0.385 0.281
O14 O 0.923 0.442 0.923
O15 O 0.998 0.439 0.731
```